Record 1
Theoretical PXRD pattern
Compound: Tb3Pm6HoEr2
Radiation: a wavelength of 1.5418 Å
Structure: the GGA-PBE geometry in Alexandria
No peak broadening, texture or thermal motion is included.

The 8 most intense peaks (2θ from 15° to 90°), in order of falling intensity:
| Position (°2θ) | I_rel |
| --- | --- |
| 32.52 | 100 |
| 29.59 | 38 |
| 30.71 | 33 |
| 60.35 | 29 |
| 50.58 | 25 |
| 55.75 | 22 |
| 36.93 | 21 |
| 61.43 | 16 |

Structural model:
a = 6.255 Å, b = 10.819 Å, c = 11.645 Å
α = 90.00°, β = 90.01°, γ = 90.00°
Space group C2/m (No. 12)
Asymmetric unit:
Tb: 0.000 0.000 0.000 [2 per cell]
Tb: 0.000 0.333 0.000 [4 per cell]
Pm: 0.167 0.167 0.251 [8 per cell]
Pm: 0.167 0.500 0.251 [4 per cell]
Ho: 0.000 0.000 0.500 [2 per cell]
Er: 0.000 0.333 0.500 [4 per cell]

Record 2
Theoretical PXRD pattern
Compound: TbPm2Ho5Er
Radiation: a wavelength of 1.5418 Å
Structure: the GGA-PBE geometry in Alexandria
No peak broadening, texture or thermal motion is included.

The 8 most intense peaks (2θ from 15° to 90°), in order of falling intensity:
| Position (°2θ) | I_rel |
| --- | --- |
| 30.97 | 100 |
| 29.36 | 52 |
| 28.88 | 44 |
| 53.09 | 24 |
| 38.16 | 15 |
| 60.87 | 14 |
| 56.06 | 13 |
| 46.62 | 12 |

Structural model:
a = 8.603 Å, b = 8.603 Å, c = 15.586 Å
α = 90.00°, β = 90.00°, γ = 90.00°
Space group I4/mcm (No. 140)
Asymmetric unit:
Tb: 0.000 0.000 0.250 [4 per cell]
Pm: 0.117 0.383 0.000 [8 per cell]
Ho: 0.000 0.000 0.000 [4 per cell]
Ho: 0.212 0.288 0.360 [16 per cell]
Er: 0.000 0.500 0.250 [4 per cell]

Record 3
Theoretical PXRD pattern
Compound: Tb2PmHo4Er
Radiation: a wavelength of 1.5418 Å
Structure: the GGA-PBE geometry in Alexandria
No peak broadening, texture or thermal motion is included.

The 8 most intense peaks (2θ from 15° to 90°), in order of falling intensity:
| Position (°2θ) | I_rel |
| --- | --- |
| 32.98 | 100 |
| 30.01 | 45 |
| 31.17 | 35 |
| 61.29 | 31 |
| 51.33 | 26 |
| 37.47 | 25 |
| 56.63 | 22 |
| 62.38 | 16 |

Structural model:
a = 7.118 Å, b = 7.120 Å, c = 11.476 Å
α = 90.00°, β = 90.00°, γ = 60.02°
Space group P-1 (No. 2)
Asymmetric unit:
Tb: 0.000 0.000 0.000 [1 per cell]
Tb: 0.000 0.000 0.500 [1 per cell]
Tb: 0.500 0.000 0.000 [1 per cell]
Tb: 0.500 0.500 0.000 [1 per cell]
Pm: 0.000 0.500 0.000 [1 per cell]
Pm: 0.500 0.500 0.500 [1 per cell]
Ho: 0.166 0.167 0.251 [2 per cell]
Ho: 0.166 0.667 0.251 [2 per cell]
Ho: 0.334 0.333 0.749 [2 per cell]
Ho: 0.334 0.833 0.749 [2 per cell]
Er: 0.000 0.500 0.500 [1 per cell]
Er: 0.500 0.000 0.500 [1 per cell]

Record 4
Theoretical PXRD pattern
Compound: Tb6PmHo2Er
Radiation: a wavelength of 1.5418 Å
Structure: the GGA-PBE geometry in Alexandria
No peak broadening, texture or thermal motion is included.

The 8 most intense peaks (2θ from 15° to 90°), in order of falling intensity:
| Position (°2θ) | I_rel |
| --- | --- |
| 31.39 | 100 |
| 30.70 | 98 |
| 34.01 | 44 |
| 28.60 | 37 |
| 31.68 | 35 |
| 32.43 | 20 |
| 28.21 | 16 |
| 34.74 | 14 |

Structural model:
a = 9.086 Å, b = 15.032 Å, c = 9.534 Å
α = 90.00°, β = 97.15°, γ = 90.00°
Space group C2/c (No. 15)
Asymmetric unit:
Tb: 0.063 0.185 0.444 [8 per cell]
Tb: 0.100 0.392 0.619 [8 per cell]
Tb: 0.209 0.225 0.816 [8 per cell]
Pm: 0.000 0.025 0.750 [4 per cell]
Ho: 0.248 0.448 0.954 [8 per cell]
Er: 0.000 0.410 0.250 [4 per cell]

Record 5
Theoretical PXRD pattern
Compound: TbPm2HoEr6
Radiation: a wavelength of 1.5418 Å
Structure: the GGA-PBE geometry in Alexandria
No peak broadening, texture or thermal motion is included.

The 8 most intense peaks (2θ from 15° to 90°), in order of falling intensity:
| Position (°2θ) | I_rel |
| --- | --- |
| 32.01 | 100 |
| 33.72 | 97 |
| 30.87 | 94 |
| 31.59 | 78 |
| 30.65 | 65 |
| 28.89 | 56 |
| 31.80 | 54 |
| 32.54 | 26 |

Structural model:
a = 8.967 Å, b = 14.947 Å, c = 9.620 Å
α = 90.00°, β = 98.91°, γ = 90.00°
Space group C2/c (No. 15)
Asymmetric unit:
Tb: 0.000 0.019 0.250 [4 per cell]
Pm: 0.246 0.052 0.543 [8 per cell]
Ho: 0.000 0.407 0.750 [4 per cell]
Er: 0.066 0.190 0.943 [8 per cell]
Er: 0.102 0.394 0.119 [8 per cell]
Er: 0.202 0.224 0.314 [8 per cell]

Record 6
Theoretical PXRD pattern
Compound: TbPm2Ho6Er
Radiation: a wavelength of 1.5418 Å
Structure: the GGA-PBE geometry in Alexandria
No peak broadening, texture or thermal motion is included.

The 8 most intense peaks (2θ from 15° to 90°), in order of falling intensity:
| Position (°2θ) | I_rel |
| --- | --- |
| 31.88 | 100 |
| 30.81 | 93 |
| 33.68 | 91 |
| 31.49 | 78 |
| 30.59 | 66 |
| 28.79 | 57 |
| 31.72 | 55 |
| 61.22 | 34 |

Structural model:
a = 8.990 Å, b = 14.994 Å, c = 9.631 Å
α = 90.00°, β = 98.71°, γ = 90.00°
Space group C2/c (No. 15)
Asymmetric unit:
Tb: 0.000 0.019 0.250 [4 per cell]
Pm: 0.247 0.052 0.543 [8 per cell]
Ho: 0.065 0.190 0.943 [8 per cell]
Ho: 0.102 0.394 0.119 [8 per cell]
Ho: 0.203 0.223 0.313 [8 per cell]
Er: 0.000 0.407 0.750 [4 per cell]

Record 7
Theoretical PXRD pattern
Compound: Pm2HoErTe5
Radiation: a wavelength of 1.5418 Å
Structure: the GGA-PBE geometry in Alexandria
No peak broadening, texture or thermal motion is included.

The 8 most intense peaks (2θ from 15° to 90°), in order of falling intensity:
| Position (°2θ) | I_rel |
| --- | --- |
| 32.41 | 100 |
| 22.76 | 88 |
| 32.74 | 52 |
| 35.20 | 42 |
| 46.50 | 37 |
| 28.35 | 35 |
| 48.60 | 33 |
| 45.55 | 29 |

Structural model:
a = 5.524 Å, b = 5.524 Å, c = 11.496 Å
α = 90.00°, β = 90.00°, γ = 90.00°
Space group P4/mmm (No. 123)
Asymmetric unit:
Pm: 0.000 0.000 0.161 [2 per cell]
Ho: 0.500 0.500 0.000 [1 per cell]
Er: 0.500 0.500 0.500 [1 per cell]
Te: 0.000 0.000 0.500 [1 per cell]
Te: 0.000 0.500 0.000 [2 per cell]
Te: 0.500 0.500 0.255 [2 per cell]

Record 8
Theoretical PXRD pattern
Compound: PmHo2ErTl2
Radiation: a wavelength of 1.5418 Å
Structure: the GGA-PBE geometry in Alexandria
No peak broadening, texture or thermal motion is included.

The 8 most intense peaks (2θ from 15° to 90°), in order of falling intensity:
| Position (°2θ) | I_rel |
| --- | --- |
| 32.08 | 100 |
| 32.79 | 82 |
| 35.11 | 60 |
| 31.51 | 59 |
| 34.73 | 36 |
| 37.74 | 25 |
| 60.03 | 23 |
| 31.75 | 22 |

Structural model:
a = 5.112 Å, b = 9.989 Å, c = 6.828 Å
α = 90.00°, β = 90.00°, γ = 90.00°
Space group Pmc2_1 (No. 26)
Asymmetric unit:
Pm: 0.000 0.043 0.000 [2 per cell]
Ho: 0.000 0.317 0.378 [2 per cell]
Ho: 0.500 0.455 0.092 [2 per cell]
Er: 0.500 0.192 0.719 [2 per cell]
Tl: 0.000 0.367 0.838 [2 per cell]
Tl: 0.500 0.136 0.262 [2 per cell]